Starting from a GGA+U-relaxed structure, the PXRD pattern of Li5Fe2Co5O12 was simulated for Cu Kα, 1.54184 Å.

Atomic structure:
```
Li5Fe2Co5O12
1.0
2.5252 -4.4475 0.0000
2.5252 4.4475 0.0000
-1.9070 0.0000 9.6540
Li Fe Co O
5 2 5 12
Cartesian
0.0000 0.0000 0.0000 Li
-0.1616 -0.0441 7.3281 Li
0.8114 -1.4459 2.3097 Li
3.3051 -0.0441 2.3260 Li
2.3321 -1.4459 7.3443 Li
2.5252 1.4671 0.0000 Fe
1.5718 -2.9800 4.8270 Fe
0.7711 1.4422 2.3298 Co
1.5718 2.9057 4.8270 Co
1.5718 0.0037 4.8270 Co
2.3724 1.4422 7.3242 Co
2.5252 -1.4649 0.0000 Co
1.5755 2.8791 1.1475 O
-0.0380 0.0638 3.7408 O
0.7700 1.3881 6.0391 O
1.5680 2.8791 8.5065 O
1.7337 -0.0149 1.1060 O
2.3735 1.3881 3.6149 O
0.7642 -1.5641 5.9166 O
1.4098 -0.0149 8.5480 O
1.6928 -2.8503 1.1291 O
2.3793 -1.5641 3.7374 O
3.1815 0.0638 5.9133 O
1.4507 -2.8503 8.5250 O
```

Principal peaks in the range 2θ = 5–70°, sorted by position:
2θ = 18.38°, intensity 42; 2θ = 23.91°, intensity 28; 2θ = 37.44°, intensity 38; 2θ = 43.07°, intensity 100; 2θ = 44.21°, intensity 46; 2θ = 63.57°, intensity 27